1.
Structure and simulated PXRD pattern of ZrCrSi2 (a structure optimized by DFT (GGA-PBE); a wavelength of 1.5418 Å).
Intensities are scaled so that the largest is 100.

The 12 most intense peaks (5 to 70 degrees two-theta), sorted by position:
| index | 2theta | d/Å | I/Imax |
| --- | --- | --- | --- |
| 0 0 1 | 11.0 | 8.024 | 19 |
| 0 0 2 | 22.2 | 4.012 | 25 |
| 1 2 2 | 30.4 | 2.940 | 28 |
| 1 4 0 | 38.0 | 2.368 | 44 |
| 3 1 2 | 38.2 | 2.355 | 100 |
| 3 3 0 | 40.5 | 2.227 | 91 |
| 2 3 2 | 40.7 | 2.216 | 73 |
| 0 4 2 | 43.2 | 2.092 | 42 |
| 0 0 4 | 45.2 | 2.006 | 38 |
| 3 3 4 | 62.3 | 1.491 | 25 |
| 4 5 2 | 67.1 | 1.395 | 21 |
| 6 2 2 | 68.6 | 1.368 | 20 |

Structure:
```
data_ZrCrSi2
_space_group_name_H-M_alt 'P b a m'
_space_group_IT_number 55
_cell_length_a 9.1390
_cell_length_b 9.8084
_cell_length_c 8.0245
_cell_angle_alpha 90.00
_cell_angle_beta 90.00
_cell_angle_gamma 90.00
loop_
_space_group_symop_operation_xyz
'x,y,z'
'-x,-y,-z'
'-x,-y,z'
'x,y,-z'
'x+1/2,-y+1/2,-z'
'-x+1/2,y+1/2,z'
'-x+1/2,y+1/2,-z'
'x+1/2,-y+1/2,z'
loop_
_atom_site_label
_atom_site_type_symbol
_atom_site_fract_x
_atom_site_fract_y
_atom_site_fract_z
Zr1 Zr 0.1695 0.1799 0.0000
Zr2 Zr 0.1724 0.4521 0.2466
Cr1 Cr 0.0000 0.0000 0.2456
Cr2 Cr 0.0794 0.7538 0.2495
Si1 Si 0.0394 0.6206 0.0000
Si2 Si 0.0403 0.6253 0.5000
Si3 Si 0.1097 0.9015 0.5000
Si4 Si 0.1243 0.8960 0.0000
Si5 Si 0.1708 0.1811 0.3510
```

2.
Structure and simulated PXRD pattern of Zr2Cr4Si5 (a structure optimized by DFT (GGA-PBE); a wavelength of 1.5418 Å).
Intensities are scaled so that the largest is 100.

The 12 most intense peaks (5 to 70 degrees two-theta), sorted by position:
| index | 2theta | d/Å | I/Imax |
| --- | --- | --- | --- |
| 2 1 1 | 30.1 | 2.967 | 37 |
| 1 4 1 | 30.9 | 2.893 | 20 |
| 0 0 2 | 36.2 | 2.480 | 32 |
| 3 3 0 | 39.3 | 2.293 | 46 |
| 1 6 1 | 40.0 | 2.256 | 64 |
| 1 7 0 | 41.0 | 2.204 | 100 |
| 3 2 1 | 41.5 | 2.174 | 84 |
| 1 3 2 | 41.8 | 2.159 | 83 |
| 2 0 2 | 43.6 | 2.077 | 31 |
| 2 9 1 | 60.1 | 1.540 | 18 |
| 4 8 0 | 67.7 | 1.384 | 23 |
| 3 2 3 | 68.8 | 1.365 | 17 |

Structure:
```
data_Zr2Cr4Si5
_space_group_name_H-M_alt 'I b a m'
_space_group_IT_number 72
_space_group_name_Hall '-I 2 2c'
_cell_length_a 7.6071
_cell_length_b 16.1225
_cell_length_c 4.9595
_cell_angle_alpha 90.00
_cell_angle_beta 90.00
_cell_angle_gamma 90.00
loop_
_atom_site_label
_atom_site_type_symbol
_atom_site_fract_x
_atom_site_fract_y
_atom_site_fract_z
Zr1 Zr 0.1218 0.1412 0.0000
Cr1 Cr 0.0000 0.3089 0.2500
Cr2 Cr 0.2471 0.4386 0.0000
Si1 Si 0.0000 0.0000 0.2500
Si2 Si 0.0727 0.4360 0.5000
Si3 Si 0.2092 0.2109 0.5000
```

3.
Structure and simulated PXRD pattern of Zr2Cr3Si (a structure optimized by DFT (GGA-PBE); a wavelength of 1.5418 Å).
Intensities are scaled so that the largest is 100.

The 12 most intense peaks (5 to 70 degrees two-theta), sorted by position:
| index | 2theta | d/Å | I/Imax |
| --- | --- | --- | --- |
| 1 0 0 | 20.5 | 4.326 | 11 |
| 1 0 2 | 29.6 | 3.015 | 17 |
| 1 1 0 | 36.0 | 2.497 | 39 |
| 1 0 3 | 38.3 | 2.352 | 100 |
| 2 0 0 | 41.8 | 2.163 | 20 |
| 1 1 2 | 42.1 | 2.147 | 84 |
| 0 0 4 | 43.0 | 2.102 | 10 |
| 2 0 1 | 43.2 | 2.095 | 70 |
| 1 0 5 | 58.9 | 1.567 | 7 |
| 3 0 0 | 64.6 | 1.442 | 7 |
| 2 1 3 | 66.2 | 1.412 | 33 |
| 3 0 2 | 68.8 | 1.364 | 18 |

Structure:
```
data_Zr2Cr3Si
_space_group_name_H-M_alt 'P 63/m m c'
_space_group_IT_number 194
_space_group_name_Hall '-P 6c 2c'
_cell_length_a 4.9948
_cell_length_b 4.9948
_cell_length_c 8.4083
_cell_angle_alpha 90.00
_cell_angle_beta 90.00
_cell_angle_gamma 120.00
loop_
_atom_site_label
_atom_site_type_symbol
_atom_site_fract_x
_atom_site_fract_y
_atom_site_fract_z
Zr1 Zr 0.3333 0.6667 0.0637
Cr1 Cr 0.1716 0.3431 0.7500
Si1 Si 0.0000 0.0000 0.0000
```

4.
Structure and simulated PXRD pattern of SrCrW2 (a structure optimized by DFT (GGA-PBE); a wavelength of 1.5418 Å).
Intensities are scaled so that the largest is 100.

The 7 most intense peaks (5 to 70 degrees two-theta), sorted by position:
| index | 2theta | d/Å | I/Imax |
| --- | --- | --- | --- |
| 1 1 1 | 23.5 | 3.782 | 1 |
| 2 0 0 | 27.2 | 3.276 | 24 |
| 2 2 0 | 38.9 | 2.316 | 100 |
| 3 1 1 | 45.9 | 1.975 | 1 |
| 2 2 2 | 48.1 | 1.891 | 7 |
| 4 0 0 | 56.2 | 1.638 | 17 |
| 4 2 0 | 63.5 | 1.465 | 10 |

Structure:
```
data_SrCrW2
_space_group_name_H-M_alt 'F m -3 m'
_space_group_IT_number 225
_space_group_name_Hall '-F 4 2 3'
_cell_length_a 6.5512
_cell_length_b 6.5512
_cell_length_c 6.5512
_cell_angle_alpha 90.00
_cell_angle_beta 90.00
_cell_angle_gamma 90.00
loop_
_atom_site_label
_atom_site_type_symbol
_atom_site_fract_x
_atom_site_fract_y
_atom_site_fract_z
Sr1 Sr 0.0000 0.0000 0.0000
Cr1 Cr 0.0000 0.0000 0.5000
W1 W 0.2500 0.2500 0.2500
```